Record 1
Structure and calculated PXRD pattern of RbSc3Tl2F12 (DFT lattice parameters and positions (GGA-PBE); Cu Ka).

Peak list (10 most intense, 2θ from 10° to 90°, sorted by position)
(hkl)	d (Å)	Rel. int.
0 0 3	6.322	14
1 1 0	3.952	50
1 0 4	3.898	32
0 2 1	3.368	27
1 1 3	3.351	100
0 0 6	3.161	12
1 1 6	2.468	13
0 3 3	2.146	35
2 2 0	1.976	26
4 1 3	1.454	17

Cell and atoms:
```
data_RbSc3Tl2F12
_chemical_formula_sum 'Rb3 Sc9 Tl6 F36'
_space_group_name_H-M_alt 'R -3 m'
_space_group_IT_number 166
_space_group_name_Hall '-R 3 2"'
_cell_length_a 7.9039
_cell_length_b 7.9039
_cell_length_c 18.9649
_cell_angle_alpha 90.00
_cell_angle_beta 90.00
_cell_angle_gamma 120.00
loop_
_atom_site_label
_atom_site_type_symbol
_atom_site_fract_x
_atom_site_fract_y
_atom_site_fract_z
Rb1 Rb 0.0000 0.0000 0.0000
Sc1 Sc 0.0000 0.5000 0.5000
Tl1 Tl 0.0000 0.0000 0.3606
F1 F 0.0508 0.5254 0.3965
F2 F 0.0912 0.5456 0.8173
```

---

Record 2
Structure and calculated PXRD pattern of Rb2ZrScF6 (DFT lattice parameters and positions (GGA-PBE); Cu Ka).

Peak list (10 most intense, 2θ from 10° to 90°, sorted by position)
(hkl)	d (Å)	Rel. int.
2 2 0	3.140	100
3 1 1	2.678	5
2 2 2	2.564	12
4 0 0	2.220	45
4 2 2	1.813	39
4 4 0	1.570	27
6 2 0	1.404	18
4 4 4	1.282	9
6 4 2	1.187	21
8 0 0	1.110	4

Cell and atoms:
```
data_Rb2ZrScF6
_chemical_formula_sum 'Rb8 Zr4 Sc4 F24'
_space_group_name_H-M_alt 'F m -3 m'
_space_group_IT_number 225
_space_group_name_Hall '-F 4 2 3'
_cell_length_a 8.882
_cell_length_b 8.882
_cell_length_c 8.882
_cell_angle_alpha 90.00
_cell_angle_beta 90.00
_cell_angle_gamma 90.00
loop_
_atom_site_label
_atom_site_type_symbol
_atom_site_fract_x
_atom_site_fract_y
_atom_site_fract_z
Rb1 Rb 0.250 0.250 0.250
Zr1 Zr 0.000 0.000 0.000
Sc1 Sc 0.000 0.000 0.500
F1 F 0.000 0.000 0.265
```

---

Record 3
Structure and calculated PXRD pattern of Rb3SeF7 (DFT lattice parameters and positions (GGA-PBE); Cu Ka).

Peak list (10 most intense, 2θ from 10° to 90°, sorted by position)
(hkl)	d (Å)	Rel. int.
2 1 0	3.733	14
2 0 1	3.447	100
2 1 1	3.186	18
0 0 2	3.057	29
2 2 0	2.951	44
3 1 0	2.639	14
2 1 2	2.365	39
2 2 2	2.123	33
4 1 0	2.024	14
2 0 3	1.832	16

Cell and atoms:
```
data_Rb3SeF7
_chemical_formula_sum 'Rb6 Se2 F14'
_space_group_name_H-M_alt 'P 4/m b m'
_space_group_IT_number 127
_space_group_name_Hall '-P 4 2ab'
_cell_length_a 8.346
_cell_length_b 8.346
_cell_length_c 6.115
_cell_angle_alpha 90.00
_cell_angle_beta 90.00
_cell_angle_gamma 90.00
loop_
_atom_site_label
_atom_site_type_symbol
_atom_site_fract_x
_atom_site_fract_y
_atom_site_fract_z
Rb1 Rb 0.000 0.000 0.000
Rb2 Rb 0.191 0.309 0.500
Se1 Se 0.000 0.500 0.000
F1 F 0.000 0.000 0.500
F2 F 0.114 0.614 0.234
F3 F 0.167 0.333 0.000
```

---

Record 4
Structure and calculated PXRD pattern of Rb4SeF (DFT lattice parameters and positions (GGA-PBE); Cu Ka).

Peak list (10 most intense, 2θ from 10° to 90°, sorted by position)
(hkl)	d (Å)	Rel. int.
0 1 1	4.578	24
0 0 2	4.043	28
1 1 0	3.923	42
1 1 -2	3.235	100
2 0 -1	2.950	43
0 2 0	2.777	38
1 1 2	2.526	46
2 2 -1	2.022	34
3 1 -3	1.754	21
1 3 -2	1.679	16

Cell and atoms:
```
data_Rb4SeF
_chemical_formula_sum 'Rb4 Se1 F1'
_space_group_name_H-M_alt 'P 1 m 1'
_space_group_IT_number 6
_space_group_name_Hall 'P -2y'
_cell_length_a 5.900
_cell_length_b 5.554
_cell_length_c 8.606
_cell_angle_alpha 90.00
_cell_angle_beta 110.02
_cell_angle_gamma 90.00
loop_
_atom_site_label
_atom_site_type_symbol
_atom_site_fract_x
_atom_site_fract_y
_atom_site_fract_z
Rb1 Rb 0.000 0.000 0.000
Rb2 Rb 0.215 0.500 0.429
Rb3 Rb 0.487 0.500 0.975
Rb4 Rb 0.765 0.000 0.529
Se1 Se 0.363 0.000 0.724
F1 F 0.043 0.500 0.086
```

---

Record 5
Structure and calculated PXRD pattern of RbUSe2F (DFT lattice parameters and positions (GGA-PBE); Cu Ka).

Peak list (10 most intense, 2θ from 10° to 90°, sorted by position)
(hkl)	d (Å)	Rel. int.
1 0 0	7.754	25
1 0 -1	6.991	54
0 0 2	4.538	20
2 0 0	3.877	31
2 0 1	3.240	20
0 1 2	3.082	100
1 0 -4	2.373	14
2 1 -3	2.340	14
3 1 -2	2.208	34
0 2 0	2.100	16

Cell and atoms:
```
data_RbUSe2F
_chemical_formula_sum 'Rb2 U2 Se4 F2'
_space_group_name_H-M_alt 'P 1 21/m 1'
_space_group_IT_number 11
_space_group_name_Hall '-P 2yb'
_cell_length_a 8.108
_cell_length_b 4.200
_cell_length_c 9.492
_cell_angle_alpha 90.00
_cell_angle_beta 107.00
_cell_angle_gamma 90.00
loop_
_atom_site_label
_atom_site_type_symbol
_atom_site_fract_x
_atom_site_fract_y
_atom_site_fract_z
Rb1 Rb 0.203 0.250 0.313
U1 U 0.319 0.250 0.828
Se1 Se 0.313 0.750 0.034
Se2 Se 0.336 0.750 0.636
F1 F 0.044 0.250 0.758
```

---

Record 6
Structure and calculated PXRD pattern of Rb2ZnSeF6 (DFT lattice parameters and positions (GGA-PBE); Cu Ka).

Peak list (10 most intense, 2θ from 10° to 90°, sorted by position)
(hkl)	d (Å)	Rel. int.
2 0 0	3.263	58
1 1 2	3.110	100
2 0 2	2.579	13
2 2 0	2.307	47
0 0 4	2.104	20
3 1 2	1.853	41
2 0 4	1.768	19
4 0 0	1.631	14
2 2 4	1.555	25
4 0 4	1.289	13

Cell and atoms:
```
data_Rb2ZnSeF6
_chemical_formula_sum 'Rb4 Zn2 Se2 F12'
_space_group_name_H-M_alt 'I 4/m m m'
_space_group_IT_number 139
_space_group_name_Hall '-I 4 2'
_cell_length_a 6.526
_cell_length_b 6.526
_cell_length_c 8.417
_cell_angle_alpha 90.00
_cell_angle_beta 90.00
_cell_angle_gamma 90.00
loop_
_atom_site_label
_atom_site_type_symbol
_atom_site_fract_x
_atom_site_fract_y
_atom_site_fract_z
Rb1 Rb 0.000 0.500 0.250
Zn1 Zn 0.000 0.000 0.000
Se1 Se 0.000 0.000 0.500
F1 F 0.000 0.000 0.268
F2 F 0.216 0.216 0.000
```

---

Record 7
Structure and calculated PXRD pattern of Rb3SiF7 (DFT lattice parameters and positions (GGA-PBE); Cu Ka).

Peak list (10 most intense, 2θ from 10° to 90°, sorted by position)
(hkl)	d (Å)	Rel. int.
2 1 0	3.617	19
2 0 1	3.335	100
2 1 1	3.083	24
0 0 2	2.949	29
2 2 0	2.859	41
3 1 0	2.557	31
2 1 2	2.286	43
2 2 2	2.053	29
4 1 0	1.961	18
4 1 1	1.861	16

Cell and atoms:
```
data_Rb3SiF7
_chemical_formula_sum 'Rb6 Si2 F14'
_space_group_name_H-M_alt 'P 4/m b m'
_space_group_IT_number 127
_space_group_name_Hall '-P 4 2ab'
_cell_length_a 8.087
_cell_length_b 8.087
_cell_length_c 5.899
_cell_angle_alpha 90.00
_cell_angle_beta 90.00
_cell_angle_gamma 90.00
loop_
_atom_site_label
_atom_site_type_symbol
_atom_site_fract_x
_atom_site_fract_y
_atom_site_fract_z
Rb1 Rb 0.000 0.000 0.000
Rb2 Rb 0.195 0.305 0.500
Si1 Si 0.000 0.500 0.000
F1 F 0.000 0.000 0.500
F2 F 0.106 0.606 0.208
F3 F 0.150 0.350 0.000
```

---

Record 8
Structure and calculated PXRD pattern of Rb3SiF6 (DFT lattice parameters and positions (GGA-PBE); Cu Ka).

Peak list (10 most intense, 2θ from 10° to 90°, sorted by position)
(hkl)	d (Å)	Rel. int.
0 2 2	3.609	90
2 0 2	3.396	100
0 0 4	3.044	25
2 2 0	3.021	38
0 4 0	2.240	20
2 2 4	2.144	41
2 4 2	1.870	28
2 0 6	1.818	18
4 2 2	1.780	17
4 0 4	1.698	17

Cell and atoms:
```
data_Rb3SiF6
_chemical_formula_sum 'Rb12 Si4 F24'
_space_group_name_H-M_alt 'F m m m'
_space_group_IT_number 69
_space_group_name_Hall '-F 2 2'
_cell_length_a 8.184
_cell_length_b 8.961
_cell_length_c 12.177
_cell_angle_alpha 90.00
_cell_angle_beta 90.00
_cell_angle_gamma 90.00
loop_
_atom_site_label
_atom_site_type_symbol
_atom_site_fract_x
_atom_site_fract_y
_atom_site_fract_z
Rb1 Rb 0.000 0.000 0.000
Rb2 Rb 0.250 0.250 0.250
Si1 Si 0.000 0.000 0.500
F1 F 0.000 0.192 0.500
F2 F 0.151 0.000 0.400
```

---

Record 9
Structure and calculated PXRD pattern of RbSiF6 (DFT lattice parameters and positions (GGA-PBE); Cu Ka).

Peak list (10 most intense, 2θ from 10° to 90°, sorted by position)
(hkl)	d (Å)	Rel. int.
1 1 0	3.780	100
0 1 2	3.295	68
0 0 3	2.542	17
2 1 1	2.354	54
1 1 3	2.109	10
1 2 2	2.076	67
2 1 4	1.510	21
0 4 2	1.504	13
2 3 2	1.398	11
3 3 0	1.260	10

Cell and atoms:
```
data_RbSiF6
_chemical_formula_sum 'Rb3 Si3 F18'
_space_group_name_H-M_alt 'R -3 m'
_space_group_IT_number 166
_space_group_name_Hall '-R 3 2"'
_cell_length_a 7.5605
_cell_length_b 7.5605
_cell_length_c 7.6258
_cell_angle_alpha 90.00
_cell_angle_beta 90.00
_cell_angle_gamma 120.00
loop_
_atom_site_label
_atom_site_type_symbol
_atom_site_fract_x
_atom_site_fract_y
_atom_site_fract_z
Rb1 Rb 0.0000 0.0000 0.0000
Si1 Si 0.0000 0.0000 0.5000
F1 F 0.1059 0.2117 0.6302
```

---

Record 10
Structure and calculated PXRD pattern of Rb2TaSiF6 (DFT lattice parameters and positions (GGA-PBE); Cu Ka).

Peak list (10 most intense, 2θ from 10° to 90°, sorted by position)
(hkl)	d (Å)	Rel. int.
1 0 1	5.393	68
1 1 2	3.453	100
2 0 0	3.053	33
0 0 4	2.875	24
2 1 1	2.657	20
2 2 0	2.159	26
2 0 4	2.093	16
3 1 2	1.831	33
1 1 6	1.752	19
2 2 4	1.726	20

Cell and atoms:
```
data_Rb2TaSiF6
_chemical_formula_sum 'Rb4 Ta2 Si2 F12'
_space_group_name_H-M_alt 'I 4/m m m'
_space_group_IT_number 139
_space_group_name_Hall '-I 4 2'
_cell_length_a 6.107
_cell_length_b 6.107
_cell_length_c 11.499
_cell_angle_alpha 90.00
_cell_angle_beta 90.00
_cell_angle_gamma 90.00
loop_
_atom_site_label
_atom_site_type_symbol
_atom_site_fract_x
_atom_site_fract_y
_atom_site_fract_z
Rb1 Rb 0.000 0.500 0.250
Ta1 Ta 0.000 0.000 0.000
Si1 Si 0.000 0.000 0.500
F1 F 0.000 0.000 0.172
F2 F 0.235 0.235 0.000
```

---

Record 11
Structure and calculated PXRD pattern of Rb5Sm2F12 (DFT lattice parameters and positions (GGA-PBE); Cu Ka).

Peak list (10 most intense, 2θ from 10° to 90°, sorted by position)
(hkl)	d (Å)	Rel. int.
2 0 0	6.969	62
0 0 1	6.871	78
0 2 1	3.543	100
0 0 2	3.435	52
4 0 -1	3.308	73
2 2 -1	3.252	78
2 2 1	3.064	58
4 0 1	2.942	39
0 4 0	2.063	34
6 2 -1	2.011	33

Cell and atoms:
```
data_Rb5Sm2F12
_chemical_formula_sum 'Rb10 Sm4 F24'
_space_group_name_H-M_alt 'C 1 2/m 1'
_space_group_IT_number 12
_space_group_name_Hall '-C 2y'
_cell_length_a 14.083
_cell_length_b 8.250
_cell_length_c 6.943
_cell_angle_alpha 90.00
_cell_angle_beta 98.25
_cell_angle_gamma 90.00
loop_
_atom_site_label
_atom_site_type_symbol
_atom_site_fract_x
_atom_site_fract_y
_atom_site_fract_z
Rb1 Rb 0.000 0.000 0.000
Rb2 Rb 0.140 0.500 0.024
Rb3 Rb 0.240 0.000 0.473
Sm1 Sm 0.000 0.256 0.500
F1 F 0.034 0.500 0.335
F2 F 0.066 0.000 0.633
F3 F 0.101 0.205 0.271
F4 F 0.140 0.301 0.709
```

---

Record 12
Structure and calculated PXRD pattern of Rb2Sn2F5 (DFT lattice parameters and positions (GGA-PBE); Cu Ka).

Peak list (10 most intense, 2θ from 10° to 90°, sorted by position)
(hkl)	d (Å)	Rel. int.
2 0 -2	3.526	35
4 0 0	3.477	53
1 1 1	3.267	100
3 1 -1	3.168	45
6 0 -2	2.391	21
0 2 0	2.115	23
3 1 -3	2.055	17
1 1 -3	2.005	18
5 1 1	1.987	22
2 0 -4	1.739	19

Cell and atoms:
```
data_Rb2Sn2F5
_chemical_formula_sum 'Rb4 Sn4 F10'
_space_group_name_H-M_alt 'C 1 2/m 1'
_space_group_IT_number 12
_space_group_name_Hall '-C 2y'
_cell_length_a 15.174
_cell_length_b 4.230
_cell_length_c 7.071
_cell_angle_alpha 90.00
_cell_angle_beta 113.55
_cell_angle_gamma 90.00
loop_
_atom_site_label
_atom_site_type_symbol
_atom_site_fract_x
_atom_site_fract_y
_atom_site_fract_z
Rb1 Rb 0.109 0.000 0.310
Sn1 Sn 0.139 0.500 0.840
F1 F 0.000 0.500 0.000
F2 F 0.084 0.000 0.725
F3 F 0.189 0.500 0.600
```